Entry 1:
The following is a theoretical X-ray diffraction stick pattern of Mg5ZnCl12. It was derived from DFT lattice parameters and positions (GGA-PBE), using λ = 1.5418 Å (Cu Kα).

Crystal structure
a b c (Å): 6.336 6.336 13.074
angles (deg): 90.04 90.04 120.03
Sites, in units of the cell vectors:
Mg1 0.000 0.000 0.000
Mg2 0.167 0.833 0.500
Mg3 0.333 0.667 0.000
Mg4 0.667 0.333 0.000
Mg5 0.833 0.167 0.500
Zn1 0.500 0.500 0.500
Cl1 0.000 0.333 0.894
Cl2 0.000 0.667 0.106
Cl3 0.170 0.500 0.395
Cl4 0.171 0.171 0.605
Cl5 0.333 0.000 0.894
Cl6 0.333 0.333 0.105
Cl7 0.500 0.170 0.395
Cl8 0.500 0.830 0.605
Cl9 0.667 0.000 0.106
Cl10 0.667 0.667 0.895
Cl11 0.829 0.829 0.395
Cl12 0.830 0.500 0.605

Main lines, low angle first (10 to 80 degrees two-theta):
13.55°, d 6.537, I = 100; 29.01°, d 3.078, I = 18; 31.38°, d 2.850, I = 74; 35.02°, d 2.562, I = 53; 39.63°, d 2.274, I = 28; 44.95°, d 2.016, I = 30; 49.85°, d 1.829, I = 12; 50.40°, d 1.811, I = 34; 50.86°, d 1.795, I = 15; 65.49°, d 1.425, I = 12

***

Entry 2:
The following is a theoretical X-ray diffraction stick pattern of MnCl. It was derived from DFT lattice parameters and positions (GGA-PBE), using λ = 1.5418 Å (Cu Kα).

Crystal structure
a b c (Å): 9.984 9.984 3.319
angles (deg): 90.00 90.00 90.00
Sites, in units of the cell vectors:
Mn1 0.079 0.599 0.000
Mn2 0.121 0.385 0.500
Mn3 0.385 0.879 0.500
Mn4 0.401 0.079 0.000
Mn5 0.599 0.921 0.000
Mn6 0.615 0.121 0.500
Mn7 0.879 0.615 0.500
Mn8 0.921 0.401 0.000
Cl1 0.152 0.772 0.500
Cl2 0.228 0.152 0.500
Cl3 0.279 0.470 0.000
Cl4 0.470 0.721 0.000
Cl5 0.530 0.279 0.000
Cl6 0.721 0.530 0.000
Cl7 0.772 0.848 0.500
Cl8 0.848 0.228 0.500

Main lines, low angle first (10 to 80 degrees two-theta):
12.54°, d 7.059, I = 100; 28.29°, d 3.154, I = 20; 32.36°, d 2.767, I = 21; 33.65°, d 2.664, I = 23; 42.52°, d 2.126, I = 66; 45.44°, d 1.996, I = 9; 46.39°, d 1.958, I = 23; 49.15°, d 1.854, I = 8; 55.36°, d 1.660, I = 8; 75.03°, d 1.266, I = 7

***

Entry 3:
The following is a theoretical X-ray diffraction stick pattern of Mn2Mo2Cl7. It was derived from DFT lattice parameters and positions (GGA-PBE), using λ = 1.5418 Å (Cu Kα).

Crystal structure
a b c (Å): 7.111 7.111 13.562
angles (deg): 104.97 104.97 88.77
Sites, in units of the cell vectors:
Mn1 0.114 0.313 0.324
Mn2 0.313 0.114 0.824
Mn3 0.687 0.886 0.176
Mn4 0.886 0.687 0.676
Mo1 0.061 0.140 0.510
Mo2 0.140 0.061 0.010
Mo3 0.860 0.939 0.990
Mo4 0.939 0.860 0.490
Cl1 0.089 0.296 0.904
Cl2 0.182 0.630 0.439
Cl3 0.221 0.779 0.750
Cl4 0.238 0.315 0.178
Cl5 0.296 0.089 0.404
Cl6 0.315 0.238 0.678
Cl7 0.370 0.818 0.061
Cl8 0.630 0.182 0.939
Cl9 0.685 0.762 0.322
Cl10 0.704 0.911 0.596
Cl11 0.762 0.685 0.822
Cl12 0.779 0.221 0.250
Cl13 0.818 0.370 0.561
Cl14 0.911 0.704 0.096

Main lines, low angle first (10 to 80 degrees two-theta):
12.91°, d 6.858, I = 100; 14.01°, d 6.323, I = 17; 17.83°, d 4.974, I = 23; 19.17°, d 4.629, I = 12; 21.46°, d 4.141, I = 33; 27.70°, d 3.221, I = 30; 30.31°, d 2.949, I = 27; 38.30°, d 2.350, I = 17; 42.86°, d 2.110, I = 15; 45.48°, d 1.994, I = 14

***

Entry 4:
The following is a theoretical X-ray diffraction stick pattern of MnMoCl. It was derived from DFT lattice parameters and positions (GGA-PBE), using λ = 1.5418 Å (Cu Kα).

Crystal structure
a b c (Å): 3.142 5.026 12.346
angles (deg): 90.00 90.00 90.00
Sites, in units of the cell vectors:
Mn1 0.000 0.000 0.000
Mn2 0.000 0.500 0.500
Mn3 0.500 0.000 0.500
Mn4 0.500 0.500 0.000
Mo1 0.000 0.000 0.651
Mo2 0.000 0.500 0.151
Mo3 0.500 0.000 0.151
Mo4 0.500 0.500 0.651
Cl1 0.000 0.000 0.338
Cl2 0.000 0.500 0.838
Cl3 0.500 0.000 0.838
Cl4 0.500 0.500 0.338

Main lines, low angle first (10 to 80 degrees two-theta):
14.35°, d 6.173, I = 33; 34.44°, d 2.604, I = 13; 35.73°, d 2.513, I = 37; 40.33°, d 2.237, I = 100; 44.01°, d 2.058, I = 18; 50.39°, d 1.811, I = 9; 57.92°, d 1.592, I = 15; 67.30°, d 1.391, I = 20; 70.72°, d 1.332, I = 9; 78.41°, d 1.220, I = 10

***

Entry 5:
The following is a theoretical X-ray diffraction stick pattern of Na6Mn3Cl14. It was derived from DFT lattice parameters and positions (GGA-PBE), using λ = 1.5418 Å (Cu Kα).

Crystal structure
a b c (Å): 10.443 10.443 6.500
angles (deg): 90.00 90.00 120.00
Sites, in units of the cell vectors:
Na1 0.036 0.249 0.000
Na2 0.212 0.964 0.000
Na3 0.460 0.400 0.505
Na4 0.600 0.060 0.505
Na5 0.751 0.788 0.000
Na6 0.940 0.540 0.505
Mn1 0.000 0.000 0.578
Mn2 0.333 0.667 0.010
Mn3 0.667 0.333 0.094
Cl1 0.000 0.000 0.218
Cl2 0.135 0.516 0.804
Cl3 0.186 0.718 0.215
Cl4 0.221 0.184 0.733
Cl5 0.282 0.468 0.215
Cl6 0.381 0.865 0.804
Cl7 0.441 0.162 0.256
Cl8 0.484 0.619 0.804
Cl9 0.532 0.814 0.215
Cl10 0.667 0.333 0.735
Cl11 0.721 0.559 0.256
Cl12 0.816 0.037 0.733
Cl13 0.838 0.279 0.256
Cl14 0.963 0.779 0.733

Main lines, low angle first (10 to 80 degrees two-theta):
16.80°, d 5.278, I = 39; 16.98°, d 5.222, I = 57; 21.83°, d 4.071, I = 19; 23.97°, d 3.712, I = 31; 29.52°, d 3.025, I = 100; 38.21°, d 2.355, I = 49; 38.47°, d 2.340, I = 12; 40.83°, d 2.210, I = 14; 45.97°, d 1.974, I = 57; 49.83°, d 1.830, I = 34

***

Entry 6:
The following is a theoretical X-ray diffraction stick pattern of Na2Mn3Cl8. It was derived from DFT lattice parameters and positions (GGA-PBE), using λ = 1.5418 Å (Cu Kα).

Crystal structure
a b c (Å): 7.868 7.868 7.868
angles (deg): 56.89 56.89 56.89
Sites, in units of the cell vectors:
Na1 0.158 0.158 0.158
Na2 0.842 0.842 0.842
Mn1 0.000 0.500 0.500
Mn2 0.500 0.000 0.500
Mn3 0.500 0.500 0.000
Cl1 0.103 0.103 0.576
Cl2 0.103 0.576 0.103
Cl3 0.404 0.404 0.404
Cl4 0.424 0.897 0.897
Cl5 0.576 0.103 0.103
Cl6 0.596 0.596 0.596
Cl7 0.897 0.424 0.897
Cl8 0.897 0.897 0.424

Main lines, low angle first (10 to 80 degrees two-theta):
13.47°, d 6.571, I = 65; 16.35°, d 5.421, I = 31; 27.40°, d 3.255, I = 21; 28.96°, d 3.083, I = 57; 35.84°, d 2.506, I = 100; 42.50°, d 2.127, I = 35; 48.59°, d 1.874, I = 44; 54.46°, d 1.685, I = 19; 61.82°, d 1.501, I = 16; 77.23°, d 1.235, I = 12

***

Entry 7:
The following is a theoretical X-ray diffraction stick pattern of NaMn4Cl8. It was derived from DFT lattice parameters and positions (GGA-PBE), using λ = 1.5418 Å (Cu Kα).

Crystal structure
a b c (Å): 7.956 7.956 7.956
angles (deg): 55.15 55.15 55.15
Sites, in units of the cell vectors:
Na1 0.000 0.000 0.000
Mn1 0.000 0.000 0.500
Mn2 0.000 0.500 0.000
Mn3 0.500 0.000 0.000
Mn4 0.500 0.500 0.500
Cl1 0.235 0.235 0.235
Cl2 0.239 0.738 0.738
Cl3 0.262 0.262 0.761
Cl4 0.262 0.761 0.262
Cl5 0.738 0.239 0.738
Cl6 0.738 0.738 0.239
Cl7 0.761 0.262 0.262
Cl8 0.765 0.765 0.765

Main lines, low angle first (10 to 80 degrees two-theta):
13.17°, d 6.725, I = 89; 28.33°, d 3.150, I = 18; 33.24°, d 2.696, I = 100; 42.26°, d 2.138, I = 21; 45.87°, d 1.978, I = 32; 49.50°, d 1.841, I = 30; 51.45°, d 1.776, I = 13; 58.01°, d 1.590, I = 13; 60.93°, d 1.521, I = 14; 76.77°, d 1.242, I = 9

***

Entry 8:
The following is a theoretical X-ray diffraction stick pattern of NaMn2Cl5. It was derived from DFT lattice parameters and positions (GGA-PBE), using λ = 1.5418 Å (Cu Kα).

Crystal structure
a b c (Å): 7.305 7.305 15.735
angles (deg): 90.00 90.00 145.65
Sites, in units of the cell vectors:
Na1 0.071 0.929 0.750
Na2 0.929 0.071 0.250
Mn1 0.216 0.784 0.105
Mn2 0.216 0.784 0.395
Mn3 0.784 0.216 0.605
Mn4 0.784 0.216 0.895
Cl1 0.056 0.944 0.123
Cl2 0.056 0.944 0.377
Cl3 0.204 0.796 0.572
Cl4 0.204 0.796 0.928
Cl5 0.297 0.703 0.250
Cl6 0.703 0.297 0.750
Cl7 0.796 0.204 0.072
Cl8 0.796 0.204 0.428
Cl9 0.944 0.056 0.623
Cl10 0.944 0.056 0.877

Main lines, low angle first (10 to 80 degrees two-theta):
12.68°, d 6.979, I = 100; 21.19°, d 4.193, I = 24; 21.56°, d 4.122, I = 59; 22.30°, d 3.987, I = 42; 22.60°, d 3.934, I = 27; 25.53°, d 3.490, I = 19; 30.46°, d 2.935, I = 21; 34.19°, d 2.623, I = 24; 41.88°, d 2.157, I = 29; 45.99°, d 1.973, I = 20

***

Entry 9:
The following is a theoretical X-ray diffraction stick pattern of Na4MnCl6. It was derived from DFT lattice parameters and positions (GGA-PBE), using λ = 1.5418 Å (Cu Kα).

Crystal structure
a b c (Å): 8.043 8.043 8.043
angles (deg): 91.35 91.35 91.35
Sites, in units of the cell vectors:
Na1 0.115 0.750 0.385
Na2 0.250 0.250 0.250
Na3 0.250 0.615 0.885
Na4 0.385 0.115 0.750
Na5 0.615 0.885 0.250
Na6 0.750 0.385 0.115
Na7 0.750 0.750 0.750
Na8 0.885 0.250 0.615
Mn1 0.000 0.000 0.000
Mn2 0.500 0.500 0.500
Cl1 0.050 0.932 0.697
Cl2 0.068 0.303 0.950
Cl3 0.197 0.432 0.550
Cl4 0.303 0.950 0.068
Cl5 0.432 0.550 0.197
Cl6 0.450 0.803 0.568
Cl7 0.550 0.197 0.432
Cl8 0.568 0.450 0.803
Cl9 0.697 0.050 0.932
Cl10 0.803 0.568 0.450
Cl11 0.932 0.697 0.050
Cl12 0.950 0.068 0.303

Main lines, low angle first (10 to 80 degrees two-theta):
15.40°, d 5.754, I = 52; 15.78°, d 5.617, I = 47; 22.12°, d 4.019, I = 22; 24.52°, d 3.630, I = 19; 33.07°, d 2.709, I = 53; 35.04°, d 2.561, I = 36; 35.57°, d 2.524, I = 94; 37.01°, d 2.429, I = 100; 47.95°, d 1.897, I = 21; 55.31°, d 1.661, I = 19